The following is a simulated X-ray diffraction stick pattern of La2Dy7Y2. It was derived from DFT lattice parameters and positions (GGA-PBE), using CuKα.

```
data_La2Dy7Y2
_chemical_formula_sum 'La4 Dy14 Y4'
_space_group_name_H-M_alt 'I m m m'
_space_group_IT_number 71
_space_group_name_Hall '-I 2 2'
_cell_length_a 3.613
_cell_length_b 11.654
_cell_length_c 17.424
_cell_angle_alpha 90.00
_cell_angle_beta 90.00
_cell_angle_gamma 90.00
loop_
_atom_site_label
_atom_site_fract_x
_atom_site_fract_y
_atom_site_fract_z
La1 0.000 0.224 0.000
Dy1 0.000 0.000 0.124
Dy2 0.000 0.000 0.500
Dy3 0.000 0.252 0.331
Y1 0.000 0.500 0.197
```

The 12 most intense peaks (2θ from 10° to 90°), low angle first:
26.70 deg, d = 3.339 Å, I 12
27.81 deg, d = 3.208 Å, I 10
30.69 deg, d = 2.913 Å, I 34
30.79 deg, d = 2.904 Å, I 19
33.00 deg, d = 2.715 Å, I 100
34.55 deg, d = 2.596 Å, I 21
44.03 deg, d = 2.057 Å, I 13
50.52 deg, d = 1.807 Å, I 9
56.04 deg, d = 1.641 Å, I 19
60.30 deg, d = 1.535 Å, I 15
63.92 deg, d = 1.456 Å, I 9
83.69 deg, d = 1.156 Å, I 10



The following is a simulated X-ray diffraction stick pattern of Li2Pr2DyGe2. It was derived from DFT lattice parameters and positions (GGA-PBE), using CuKα.

```
data_Li2Pr2DyGe2
_chemical_formula_sum 'Li6 Pr6 Dy3 Ge6'
_space_group_name_H-M_alt 'R -3 m'
_space_group_IT_number 166
_space_group_name_Hall '-R 3 2"'
_cell_length_a 4.4518
_cell_length_b 4.4518
_cell_length_c 29.2662
_cell_angle_alpha 90.00
_cell_angle_beta 90.00
_cell_angle_gamma 120.00
loop_
_atom_site_label
_atom_site_fract_x
_atom_site_fract_y
_atom_site_fract_z
Li1 0.0000 0.0000 0.1125
Pr1 0.0000 0.0000 0.3777
Dy1 0.0000 0.0000 0.5000
Ge1 0.0000 0.0000 0.2268
```

The 12 most intense peaks (2θ from 10° to 90°), low angle first:
23.27 deg, d = 3.822 Å, I 100
31.57 deg, d = 2.834 Å, I 89
33.78 deg, d = 2.654 Å, I 90
40.53 deg, d = 2.226 Å, I 77
47.25 deg, d = 1.924 Å, I 15
49.63 deg, d = 1.837 Å, I 16
52.26 deg, d = 1.751 Å, I 21
53.75 deg, d = 1.705 Å, I 24
63.39 deg, d = 1.467 Å, I 21
68.15 deg, d = 1.376 Å, I 19
69.43 deg, d = 1.354 Å, I 22
73.74 deg, d = 1.285 Å, I 16



The following is a simulated X-ray diffraction stick pattern of Nb8N5. It was derived from DFT lattice parameters and positions (GGA-PBE), using CuKα.

```
data_Nb8N5
_chemical_formula_sum 'Nb16 N10'
_space_group_name_H-M_alt 'C m m m'
_space_group_IT_number 65
_space_group_name_Hall '-C 2 2'
_cell_length_a 6.143
_cell_length_b 8.818
_cell_length_c 6.231
_cell_angle_alpha 90.00
_cell_angle_beta 90.00
_cell_angle_gamma 90.00
loop_
_atom_site_label
_atom_site_fract_x
_atom_site_fract_y
_atom_site_fract_z
Nb1 0.000 0.248 0.000
Nb2 0.000 0.250 0.500
Nb3 0.245 0.500 0.250
N1 0.000 0.000 0.500
N2 0.250 0.250 0.248
```

The 12 most intense peaks (2θ from 10° to 90°), low angle first:
35.27 deg, d = 2.544 Å, I 100
35.62 deg, d = 2.520 Å, I 97
40.94 deg, d = 2.205 Å, I 46
41.28 deg, d = 2.187 Å, I 90
59.32 deg, d = 1.558 Å, I 15
59.54 deg, d = 1.553 Å, I 58
60.27 deg, d = 1.536 Å, I 14
70.90 deg, d = 1.329 Å, I 13
71.14 deg, d = 1.325 Å, I 39
71.80 deg, d = 1.315 Å, I 25
74.60 deg, d = 1.272 Å, I 14
75.44 deg, d = 1.260 Å, I 14



The following is a simulated X-ray diffraction stick pattern of Ho2Er3Te6. It was derived from DFT lattice parameters and positions (GGA-PBE), using CuKα.

```
data_Ho2Er3Te6
_chemical_formula_sum 'Ho4 Er6 Te12'
_space_group_name_H-M_alt 'C 1 2/m 1'
_space_group_IT_number 12
_cell_length_a 7.471
_cell_length_b 12.863
_cell_length_c 7.439
_cell_angle_alpha 90.00
_cell_angle_beta 109.62
_cell_angle_gamma 90.00
loop_
_space_group_symop_operation_xyz
'x,y,z'
'-x,-y,-z'
'-x,y,-z'
'x,-y,z'
'x+1/2,y+1/2,z'
'-x+1/2,-y+1/2,-z'
'-x+1/2,y+1/2,-z'
'x+1/2,-y+1/2,z'
loop_
_atom_site_label
_atom_site_fract_x
_atom_site_fract_y
_atom_site_fract_z
Ho1 0.000 0.164 0.000
Er1 0.000 0.000 0.500
Er2 0.000 0.329 0.500
Te1 0.240 0.500 0.753
Te2 0.241 0.339 0.243
```

The 12 most intense peaks (2θ from 10° to 90°), low angle first:
29.32 deg, d = 3.046 Å, I 51
29.43 deg, d = 3.035 Å, I 100
41.95 deg, d = 2.154 Å, I 38
42.10 deg, d = 2.146 Å, I 75
51.97 deg, d = 1.759 Å, I 10
52.19 deg, d = 1.753 Å, I 30
61.06 deg, d = 1.517 Å, I 12
68.88 deg, d = 1.363 Å, I 9
69.07 deg, d = 1.360 Å, I 17
69.27 deg, d = 1.356 Å, I 17
76.72 deg, d = 1.242 Å, I 12
76.94 deg, d = 1.239 Å, I 16



The following is a simulated X-ray diffraction stick pattern of CoPd3Pt2. It was derived from DFT lattice parameters and positions (GGA-PBE), using CuKα.

```
data_CoPd3Pt2
_chemical_formula_sum 'Co8 Pd24 Pt16'
_space_group_name_H-M_alt 'I 41/a m d'
_space_group_IT_number 141
_cell_length_a 7.832
_cell_length_b 7.832
_cell_length_c 12.733
_cell_angle_alpha 90.00
_cell_angle_beta 90.00
_cell_angle_gamma 90.00
loop_
_space_group_symop_operation_xyz
'x,y,z'
'-x,-y,-z'
'-y+1/4,x+3/4,z+1/4'
'y+1/4,-x+3/4,-z+1/4'
'-x+1/2,-y,z+1/2'
'x+1/2,y,-z+1/2'
'y+1/4,-x+1/4,z+3/4'
'-y+1/4,x+1/4,-z+3/4'
'x,-y,-z'
'-x,y,z'
'-y+1/4,-x+1/4,-z+3/4'
'y+1/4,x+1/4,z+3/4'
'-x+1/2,y,-z+1/2'
'x+1/2,-y,z+1/2'
'y+1/4,x+3/4,-z+1/4'
'-y+1/4,-x+3/4,z+1/4'
'x+1/2,y+1/2,z+1/2'
'-x+1/2,-y+1/2,-z+1/2'
'-y+3/4,x+1/4,z+3/4'
'y+3/4,-x+1/4,-z+3/4'
'-x,-y+1/2,z'
'x,y+1/2,-z'
'y+3/4,-x+3/4,z+1/4'
'-y+3/4,x+3/4,-z+1/4'
'x+1/2,-y+1/2,-z+1/2'
'-x+1/2,y+1/2,z+1/2'
'-y+3/4,-x+3/4,-z+1/4'
'y+3/4,x+3/4,z+1/4'
'-x,y+1/2,-z'
'x,-y+1/2,z'
'y+3/4,x+1/4,-z+3/4'
'-y+3/4,-x+1/4,z+3/4'
loop_
_atom_site_label
_atom_site_fract_x
_atom_site_fract_y
_atom_site_fract_z
Co1 0.000 0.250 0.115
Pd1 0.000 0.000 0.500
Pd2 0.184 0.066 0.875
Pt1 0.000 0.038 0.291
```

The 12 most intense peaks (2θ from 10° to 90°), low angle first:
13.27 deg, d = 6.671 Å, I 55
26.73 deg, d = 3.335 Å, I 69
32.33 deg, d = 2.769 Å, I 42
37.12 deg, d = 2.422 Å, I 75
39.02 deg, d = 2.308 Å, I 41
40.57 deg, d = 2.224 Å, I 57
42.21 deg, d = 2.141 Å, I 100
43.31 deg, d = 2.089 Å, I 88
43.96 deg, d = 2.060 Å, I 48
46.40 deg, d = 1.957 Å, I 55
70.60 deg, d = 1.334 Å, I 25
77.04 deg, d = 1.238 Å, I 23



The following is a simulated X-ray diffraction stick pattern of CsHRhSeCl. It was derived from DFT lattice parameters and positions (GGA-PBE), using CuKα.

```
data_CsHRhSeCl
_chemical_formula_sum 'Cs2 H2 Rh2 Se2 Cl2'
_space_group_name_H-M_alt 'C 1 m 1'
_space_group_IT_number 8
_cell_length_a 15.346
_cell_length_b 3.662
_cell_length_c 4.968
_cell_angle_alpha 90.00
_cell_angle_beta 91.24
_cell_angle_gamma 90.00
loop_
_space_group_symop_operation_xyz
'x,y,z'
'x,-y,z'
'x+1/2,y+1/2,z'
'x+1/2,-y+1/2,z'
loop_
_atom_site_label
_atom_site_fract_x
_atom_site_fract_y
_atom_site_fract_z
Cs1 0.000 0.000 0.000
H1 0.263 0.500 0.161
Rh1 0.258 0.500 0.469
Se1 0.357 0.000 0.483
Cl1 0.101 0.500 0.504
```

The 12 most intense peaks (2θ from 10° to 90°), low angle first:
21.10 deg, d = 4.211 Å, I 95
21.52 deg, d = 4.129 Å, I 100
23.19 deg, d = 3.836 Å, I 31
30.01 deg, d = 2.977 Å, I 69
30.82 deg, d = 2.901 Å, I 51
30.97 deg, d = 2.888 Å, I 64
36.17 deg, d = 2.484 Å, I 49
38.27 deg, d = 2.352 Å, I 54
47.39 deg, d = 1.918 Å, I 29
48.00 deg, d = 1.895 Å, I 25
53.19 deg, d = 1.722 Å, I 24
63.07 deg, d = 1.474 Å, I 24



The following is a simulated X-ray diffraction stick pattern of Nd2Tc3Ge5. It was derived from DFT lattice parameters and positions (GGA-PBE), using CuKα.

```
data_Nd2Tc3Ge5
_chemical_formula_sum 'Nd8 Tc12 Ge20'
_space_group_name_H-M_alt 'I b a m'
_space_group_IT_number 72
_space_group_name_Hall '-I 2 2c'
_cell_length_a 10.032
_cell_length_b 12.880
_cell_length_c 5.845
_cell_angle_alpha 90.00
_cell_angle_beta 90.00
_cell_angle_gamma 90.00
loop_
_atom_site_label
_atom_site_fract_x
_atom_site_fract_y
_atom_site_fract_z
Nd1 0.237 0.135 0.000
Tc1 0.000 0.500 0.250
Tc2 0.086 0.149 0.500
Ge1 0.000 0.000 0.250
Ge2 0.000 0.293 0.250
Ge3 0.181 0.408 0.000
```

The 12 most intense peaks (2θ from 10° to 90°), low angle first:
27.70 deg, d = 3.220 Å, I 20
33.05 deg, d = 2.710 Å, I 82
33.88 deg, d = 2.646 Å, I 100
35.55 deg, d = 2.525 Å, I 88
35.81 deg, d = 2.508 Å, I 25
38.32 deg, d = 2.349 Å, I 27
39.73 deg, d = 2.269 Å, I 28
41.74 deg, d = 2.164 Å, I 93
53.06 deg, d = 1.726 Å, I 20
56.14 deg, d = 1.638 Å, I 21
56.49 deg, d = 1.629 Å, I 26
63.69 deg, d = 1.461 Å, I 20



The following is a simulated X-ray diffraction stick pattern of Tb5Er3Sn. It was derived from DFT lattice parameters and positions (GGA-PBE), using CuKα.

```
data_Tb5Er3Sn
_chemical_formula_sum 'Tb20 Er12 Sn4'
_space_group_name_H-M_alt 'C 1 2/m 1'
_space_group_IT_number 12
_cell_length_a 13.813
_cell_length_b 7.951
_cell_length_c 11.010
_cell_angle_alpha 90.00
_cell_angle_beta 96.08
_cell_angle_gamma 90.00
loop_
_space_group_symop_operation_xyz
'x,y,z'
'-x,-y,-z'
'-x,y,-z'
'x,-y,z'
'x+1/2,y+1/2,z'
'-x+1/2,-y+1/2,-z'
'-x+1/2,y+1/2,-z'
'x+1/2,-y+1/2,z'
loop_
_atom_site_label
_atom_site_fract_x
_atom_site_fract_y
_atom_site_fract_z
Tb1 0.000 0.167 0.000
Tb2 0.002 0.000 0.361
Tb3 0.125 0.297 0.762
Tb4 0.237 0.500 0.044
Er1 0.000 0.500 0.000
Er2 0.000 0.500 0.500
Er3 0.168 0.000 0.213
Er4 0.238 0.000 0.531
Sn1 0.094 0.500 0.261
```

The 12 most intense peaks (2θ from 10° to 90°), low angle first:
22.36 deg, d = 3.975 Å, I 58
27.59 deg, d = 3.234 Å, I 100
28.28 deg, d = 3.155 Å, I 38
29.20 deg, d = 3.058 Å, I 70
31.76 deg, d = 2.818 Å, I 55
32.21 deg, d = 2.779 Å, I 91
32.72 deg, d = 2.737 Å, I 49
34.52 deg, d = 2.598 Å, I 60
34.65 deg, d = 2.589 Å, I 48
36.83 deg, d = 2.441 Å, I 56
39.30 deg, d = 2.292 Å, I 27
45.61 deg, d = 1.989 Å, I 48